Record 1
Structure and calculated powder diffraction line list of MoAu2N (a DFT-relaxed cell (PBE, Alexandria); a wavelength of 1.5418 Å).
No peak broadening, texture or thermal motion is included.

Peak list (10 most intense, 2θ = 10–90°, sorted by position)
2θ (°)	I (rel.)
30.06	16
32.95	100
33.71	40
39.47	23
45.20	30
48.41	15
48.76	25
55.74	19
59.81	17
64.92	15

Atomic structure:
Cell: 8.4087 8.4087 3.9345 Å, 90.00 90.00 90.00°
Space group I-42d (No. 122)
Inequivalent atoms, fractional coordinates:
Mo (0.0000, 0.0000, 0.0000) x4
Au (0.1405, 0.2500, 0.6250) x8
N (0.0000, 0.0000, 0.5000) x4


Record 2
Structure and calculated powder diffraction line list of ZnMoAu2N (a DFT-relaxed cell (PBE, Alexandria); a wavelength of 1.5418 Å).
No peak broadening, texture or thermal motion is included.

Peak list (10 most intense, 2θ = 10–90°, sorted by position)
2θ (°)	I (rel.)
17.90	67
18.85	24
32.40	100
36.26	33
38.24	56
42.52	32
53.71	42
55.19	19
65.47	27
67.83	21

Atomic structure:
Cell: 4.7074 4.7074 4.9555 Å, 90.00 90.00 90.00°
Space group P4/mmm (No. 123)
Inequivalent atoms, fractional coordinates:
Zn (0.0000, 0.0000, 0.0000) x1
Mo (0.0000, 0.0000, 0.5000) x1
Au (0.0000, 0.5000, 0.0000) x2
N (0.5000, 0.5000, 0.5000) x1